No. 1
For Sr3NbCoO7, a DFT-relaxed cell (PBE+U, the Materials Project) gives the theoretical powder diffractogram in this record (CuKα).

```
Sr3NbCoO7
1.0
3.966 0.000 0.000
-0.006 3.998 0.000
-1.933 -1.989 10.715
Sr Nb Co O
3 1 1 7
Direct
0.000 0.000 0.000
0.165 0.162 0.323
0.797 0.789 0.577
0.387 0.382 0.763
0.579 0.586 0.176
0.086 0.578 0.153
0.293 0.283 0.565
0.382 0.876 0.751
0.477 0.471 0.941
0.582 0.078 0.153
0.702 0.680 0.355
0.882 0.376 0.750
```

The 10 most intense peaks (2θ from 15° to 90°), low angle first:
| d_spacing | intensity |
| --- | --- |
| 2.922 | 100 |
| 2.904 | 33 |
| 2.816 | 86 |
| 2.143 | 19 |
| 2.046 | 12 |
| 1.999 | 27 |
| 1.983 | 26 |
| 1.649 | 19 |
| 1.645 | 12 |
| 1.639 | 12 |

No. 2
For Li2MnNi3O8, a DFT-relaxed cell (PBE+U, the Materials Project) gives the theoretical powder diffractogram in this record (CuKα).

```
Li2MnNi3O8
1.0
4.974 -2.869 0.000
4.974 2.869 0.000
-3.342 0.000 4.849
Li Mn Ni O
2 1 3 8
Direct
0.000 0.000 0.000
0.500 0.500 0.000
0.000 0.000 0.500
0.000 0.500 0.500
0.500 0.000 0.500
0.500 0.500 0.500
0.217 0.742 0.713
0.240 0.240 0.703
0.253 0.253 0.296
0.258 0.783 0.287
0.742 0.217 0.713
0.747 0.747 0.704
0.760 0.760 0.297
0.783 0.258 0.287
```

The 10 most intense peaks (2θ from 15° to 90°), low angle first:
| d_spacing | intensity |
| --- | --- |
| 4.849 | 100 |
| 2.450 | 34 |
| 2.350 | 7 |
| 2.054 | 36 |
| 2.048 | 18 |
| 1.887 | 7 |
| 1.596 | 10 |
| 1.466 | 9 |
| 1.435 | 14 |
| 1.375 | 9 |

No. 3
For Li9Mn2Co5O16, a DFT-relaxed cell (PBE+U, the Materials Project) gives the theoretical powder diffractogram in this record (CuKα).

```
Li9Mn2Co5O16
1.0
7.634 -1.448 0.000
7.634 1.448 0.000
-0.742 0.000 13.130
Li Mn Co O
9 2 5 16
Direct
0.000 0.000 0.000
0.132 0.132 0.352
0.249 0.249 0.735
0.384 0.384 0.115
0.500 0.500 0.480
0.570 0.570 0.175
0.631 0.631 0.862
0.750 0.750 0.234
0.883 0.883 0.603
0.187 0.187 0.053
0.441 0.441 0.800
0.068 0.068 0.670
0.319 0.319 0.419
0.693 0.693 0.546
0.816 0.816 0.929
0.949 0.949 0.285
0.027 0.027 0.823
0.109 0.109 0.524
0.166 0.166 0.189
0.225 0.225 0.904
0.277 0.277 0.572
0.359 0.359 0.273
0.404 0.404 0.957
0.479 0.479 0.642
0.527 0.527 0.329
0.607 0.607 0.020
0.654 0.654 0.703
0.730 0.730 0.391
0.775 0.775 0.072
0.853 0.853 0.778
0.903 0.903 0.450
0.970 0.970 0.152
```

The 10 most intense peaks (2θ from 15° to 90°), low angle first:
| d_spacing | intensity |
| --- | --- |
| 4.841 | 100 |
| 2.560 | 15 |
| 2.484 | 25 |
| 2.418 | 8 |
| 2.136 | 30 |
| 2.061 | 54 |
| 1.920 | 9 |
| 1.593 | 10 |
| 1.484 | 15 |
| 1.482 | 14 |

No. 4
For LiCo2P3O12, a DFT-relaxed cell (PBE+U, the Materials Project) gives the theoretical powder diffractogram in this record (CuKα).

```
LiCo2P3O12
1.0
8.392 0.000 0.000
-4.189 7.291 0.000
-0.022 -4.844 7.556
Li Co P O
2 4 6 24
Direct
0.177 0.098 0.362
0.823 0.902 0.638
0.145 0.780 0.443
0.357 0.218 0.071
0.643 0.782 0.929
0.855 0.220 0.557
0.035 0.285 0.249
0.249 0.287 0.749
0.461 0.998 0.250
0.539 0.002 0.750
0.751 0.713 0.251
0.965 0.715 0.751
0.009 0.470 0.302
0.020 0.226 0.392
0.035 0.214 0.708
0.119 0.918 0.929
0.234 0.344 0.223
0.264 0.119 0.583
0.304 0.294 0.917
0.328 0.834 0.298
0.339 0.827 0.603
0.374 0.117 0.236
0.384 0.510 0.773
0.499 0.884 0.076
0.501 0.116 0.924
0.616 0.490 0.227
0.626 0.883 0.764
0.661 0.173 0.397
0.672 0.166 0.702
0.696 0.706 0.083
0.736 0.881 0.417
0.766 0.656 0.777
0.881 0.082 0.071
0.965 0.786 0.292
0.980 0.774 0.608
0.991 0.530 0.698
```

The 10 most intense peaks (2θ from 15° to 90°), low angle first:
| d_spacing | intensity |
| --- | --- |
| 4.472 | 82 |
| 4.202 | 29 |
| 3.673 | 100 |
| 3.066 | 40 |
| 3.055 | 16 |
| 2.810 | 52 |
| 2.731 | 15 |
| 2.475 | 17 |
| 2.428 | 14 |
| 1.751 | 15 |

No. 5
For MnNi6O8, a DFT-relaxed cell (PBE+U, the Materials Project) gives the theoretical powder diffractogram in this record (CuKα).

```
MnNi6O8
1.0
2.973 1.717 4.845
-2.973 1.717 4.845
0.000 -3.433 4.845
Mn Ni O
1 6 8
Direct
0.000 0.000 0.000
0.000 0.000 0.500
0.000 0.500 0.000
0.000 0.500 0.500
0.500 0.000 0.000
0.500 0.000 0.500
0.500 0.500 0.000
0.230 0.230 0.770
0.230 0.770 0.230
0.230 0.770 0.770
0.250 0.250 0.250
0.750 0.750 0.750
0.770 0.230 0.230
0.770 0.230 0.770
0.770 0.770 0.230
```

The 10 most intense peaks (2θ from 15° to 90°), low angle first:
| d_spacing | intensity |
| --- | --- |
| 4.852 | 20 |
| 4.202 | 11 |
| 2.971 | 9 |
| 2.534 | 6 |
| 2.426 | 65 |
| 2.101 | 100 |
| 1.486 | 56 |
| 1.267 | 20 |
| 1.266 | 7 |
| 1.214 | 13 |